[1]
For CaAcLaTm, the GGA-PBE geometry in Alexandria gives the calculated powder diffraction line list in this record (Cu Ka).
Intensities are scaled so that the largest is 100.

Largest 10 diffraction maxima, by intensity, 2θ = 15–90°:
2θ 29.8, rel. 100; 2θ 52.9, rel. 40; 2θ 85.8, rel. 21; 2θ 42.7, rel. 19; 2θ 70.3, rel. 17; 2θ 18.1, rel. 15; 2θ 62.0, rel. 13; 2θ 35.1, rel. 9; 2θ 21.0, rel. 8; 2θ 78.2, rel. 4

Atomic structure:
a b c (Å): 8.4731 8.4731 8.4731
angles (deg): 90.00 90.00 90.00
Fractional coordinates of all 16 atoms:
Ca 0.0000 0.0000 0.0000
Ca 0.0000 0.5000 0.5000
Ca 0.5000 0.0000 0.5000
Ca 0.5000 0.5000 0.0000
Ac 0.2500 0.2500 0.2500
Ac 0.2500 0.7500 0.7500
Ac 0.7500 0.2500 0.7500
Ac 0.7500 0.7500 0.2500
La 0.2500 0.2500 0.7500
La 0.2500 0.7500 0.2500
La 0.7500 0.2500 0.2500
La 0.7500 0.7500 0.7500
Tm 0.0000 0.0000 0.5000
Tm 0.0000 0.5000 0.0000
Tm 0.5000 0.0000 0.0000
Tm 0.5000 0.5000 0.5000

=====

[2]
For LiCaAc4, the GGA-PBE geometry in Alexandria gives the calculated powder diffraction line list in this record (Cu Ka).
Intensities are scaled so that the largest is 100.

Largest 10 diffraction maxima, by intensity, 2θ = 15–90°:
2θ 29.6, rel. 100; 2θ 28.3, rel. 98; 2θ 34.3, rel. 46; 2θ 58.6, rel. 46; 2θ 49.4, rel. 42; 2θ 45.1, rel. 38; 2θ 37.5, rel. 35; 2θ 51.8, rel. 28; 2θ 69.1, rel. 24; 2θ 80.1, rel. 19

Atomic structure:
a b c (Å): 7.3844 7.3844 7.3844
angles (deg): 60.00 60.00 60.00
Fractional coordinates of all 6 atoms:
Li 0.0000 0.0000 0.0000
Ca 0.2500 0.2500 0.2500
Ac 0.1261 0.6246 0.6246
Ac 0.6246 0.1261 0.6246
Ac 0.6246 0.6246 0.1261
Ac 0.6246 0.6246 0.6246

=====

[3]
For Li9Ca2Ac, the GGA-PBE geometry in Alexandria gives the calculated powder diffraction line list in this record (Cu Ka).
Intensities are scaled so that the largest is 100.

Largest 10 diffraction maxima, by intensity, 2θ = 15–90°:
2θ 17.2, rel. 100; 2θ 28.9, rel. 89; 2θ 34.6, rel. 41; 2θ 21.8, rel. 31; 2θ 51.1, rel. 29; 2θ 16.5, rel. 28; 2θ 33.7, rel. 25; 2θ 18.8, rel. 23; 2θ 25.1, rel. 19; 2θ 44.9, rel. 18

Atomic structure:
a b c (Å): 6.1966 6.1966 18.9084
angles (deg): 90.00 90.00 120.00
Fractional coordinates of all 24 atoms:
Li 0.0000 0.0000 0.0000
Li 0.0000 0.0000 0.2500
Li 0.0000 0.0000 0.5000
Li 0.0000 0.0000 0.7500
Li 0.1677 0.3354 0.1272
Li 0.1677 0.3354 0.3728
Li 0.1677 0.8323 0.1272
Li 0.1677 0.8323 0.3728
Li 0.3333 0.6667 0.2500
Li 0.3354 0.1677 0.6272
Li 0.3354 0.1677 0.8728
Li 0.6646 0.8323 0.1272
Li 0.6646 0.8323 0.3728
Li 0.6667 0.3333 0.7500
Li 0.8323 0.1677 0.6272
Li 0.8323 0.1677 0.8728
Li 0.8323 0.6646 0.6272
Li 0.8323 0.6646 0.8728
Ca 0.3333 0.6667 0.5373
Ca 0.3333 0.6667 0.9627
Ca 0.6667 0.3333 0.0373
Ca 0.6667 0.3333 0.4627
Ac 0.3333 0.6667 0.7500
Ac 0.6667 0.3333 0.2500